Structure and computed powder diffraction line list of Sr2HfO4 (a DFT-relaxed cell (PBE, the Materials Project); copper Kα).

Crystal structure
a = 13.756 Å, b = 13.756 Å, c = 13.756 Å
α = 155.92°, β = 155.92°, γ = 34.31°
Fractional positions:
Sr1 0.050 0.300 0.750
Sr2 0.200 0.450 0.750
Sr3 0.300 0.050 0.250
Sr4 0.450 0.200 0.250
Sr5 0.550 0.800 0.750
Sr6 0.700 0.950 0.750
Sr7 0.800 0.550 0.250
Sr8 0.950 0.700 0.250
Hf1 0.125 0.875 0.250
Hf2 0.375 0.625 0.750
Hf3 0.625 0.375 0.250
Hf4 0.875 0.125 0.750
O1 0.044 0.794 0.250
O2 0.074 0.824 0.649
O3 0.176 0.324 0.250
O4 0.206 0.956 0.250
O5 0.294 0.544 0.750
O6 0.324 0.574 0.149
O7 0.426 0.074 0.750
O8 0.456 0.706 0.750
O9 0.544 0.294 0.250
O10 0.574 0.926 0.250
O11 0.676 0.426 0.851
O12 0.706 0.456 0.250
O13 0.794 0.044 0.750
O14 0.824 0.676 0.750
O15 0.926 0.176 0.351
O16 0.956 0.206 0.750

Most intense lines, 2θ from 10° to 90°, low angle first:
d (Å), 2theta, I_rel
6.572, 13.5, 34
2.977, 30.0, 100
2.869, 31.2, 62
2.029, 44.7, 29
1.741, 52.6, 24
1.677, 54.7, 41

=====

Structure and computed powder diffraction line list of TbGe2Rh2 (a DFT-relaxed cell (PBE, the Materials Project); copper Kα).

Crystal structure
a = 5.970 Å, b = 5.970 Å, c = 5.970 Å
α = 139.34°, β = 139.34°, γ = 58.86°
Fractional positions:
Tb1 0.000 0.000 0.000
Ge1 0.378 0.378 0.000
Ge2 0.622 0.622 0.000
Rh1 0.250 0.750 0.500
Rh2 0.750 0.250 0.500

Most intense lines, 2θ from 10° to 90°, low angle first:
d (Å), 2theta, I_rel
2.660, 33.7, 53
2.555, 35.1, 100
2.074, 43.6, 52
1.859, 49.0, 21
1.636, 56.2, 24
1.272, 74.6, 22

=====

Structure and computed powder diffraction line list of Na2ZrScP3O12 (a DFT-relaxed cell (PBE, the Materials Project); copper Kα).

Crystal structure
a = 9.007 Å, b = 9.007 Å, c = 9.282 Å
α = 119.17°, β = 119.17°, γ = 59.59°
Fractional positions:
Na1 0.003 0.502 0.254
Na2 0.114 0.886 0.500
Na3 0.502 0.003 0.754
Na4 0.886 0.114 0.000
Zr1 0.361 0.852 0.305
Zr2 0.852 0.361 0.805
Sc1 0.150 0.642 0.693
Sc2 0.642 0.150 0.193
P1 0.039 0.254 0.494
P2 0.254 0.039 0.994
P3 0.457 0.541 0.495
P4 0.541 0.457 0.995
P5 0.752 0.960 0.499
P6 0.960 0.752 0.999
O1 0.011 0.271 0.656
O2 0.069 0.418 0.518
O3 0.079 0.213 0.978
O4 0.126 0.778 0.165
O5 0.213 0.079 0.478
O6 0.223 0.877 0.831
O7 0.271 0.011 0.156
O8 0.282 0.575 0.518
O9 0.376 0.489 0.836
O10 0.418 0.069 0.018
O11 0.429 0.719 0.479
O12 0.489 0.376 0.336
O13 0.513 0.626 0.159
O14 0.575 0.282 0.018
O15 0.584 0.935 0.479
O16 0.626 0.513 0.659
O17 0.719 0.429 0.979
O18 0.731 0.991 0.340
O19 0.778 0.126 0.665
O20 0.789 0.923 0.019
O21 0.877 0.223 0.331
O22 0.923 0.789 0.519
O23 0.935 0.584 0.979
O24 0.991 0.731 0.840

Most intense lines, 2θ from 10° to 90°, low angle first:
d (Å), 2theta, I_rel
6.455, 13.7, 58
4.628, 19.2, 67
4.503, 19.7, 38
3.885, 22.9, 70
2.922, 30.6, 100
2.913, 30.7, 42

=====

Structure and computed powder diffraction line list of Nb2B2Mo (a DFT-relaxed cell (PBE, the Materials Project); copper Kα).

Crystal structure
a = 6.130 Å, b = 6.130 Å, c = 3.303 Å
α = 90.00°, β = 90.00°, γ = 90.00°
Fractional positions:
Nb1 0.179 0.321 0.000
Nb2 0.321 0.821 0.000
Nb3 0.679 0.179 0.000
Nb4 0.821 0.679 0.000
B1 0.109 0.609 0.500
B2 0.391 0.109 0.500
B3 0.609 0.891 0.500
B4 0.891 0.391 0.500
Mo1 0.000 0.000 0.500
Mo2 0.500 0.500 0.500

Most intense lines, 2θ from 10° to 90°, low angle first:
d (Å), 2theta, I_rel
2.742, 32.7, 57
2.627, 34.1, 50
2.247, 40.1, 100
2.110, 42.9, 70
1.939, 46.9, 44
1.324, 71.2, 28

=====

Structure and computed powder diffraction line list of Ba3BiN (a DFT-relaxed cell (PBE, the Materials Project); copper Kα).

Crystal structure
a = 5.612 Å, b = 5.612 Å, c = 5.612 Å
α = 90.00°, β = 90.00°, γ = 90.00°
Fractional positions:
Ba1 0.000 0.000 0.500
Ba2 0.000 0.500 0.000
Ba3 0.500 0.000 0.000
Bi1 0.500 0.500 0.500
N1 0.000 0.000 0.000

Most intense lines, 2θ from 10° to 90°, low angle first:
d (Å), 2theta, I_rel
3.240, 27.5, 100
2.806, 31.9, 57
1.984, 45.7, 41
1.692, 54.2, 46
1.288, 73.6, 19
1.255, 75.8, 19

=====

Structure and computed powder diffraction line list of MgSi2 (a DFT-relaxed cell (PBE, the Materials Project); copper Kα).

Crystal structure
a = 5.451 Å, b = 5.451 Å, c = 6.802 Å
α = 122.10°, β = 122.10°, γ = 39.87°
Fractional positions:
Mg1 0.077 0.077 0.357
Mg2 0.923 0.923 0.643
Si1 0.313 0.313 0.269
Si2 0.367 0.367 0.947
Si3 0.633 0.633 0.053
Si4 0.687 0.687 0.731

Most intense lines, 2θ from 10° to 90°, low angle first:
d (Å), 2theta, I_rel
2.654, 33.8, 100
2.498, 36.0, 40
2.456, 36.6, 37
2.342, 38.4, 33
2.244, 40.2, 74
1.859, 49.0, 32